Sr2CoCO3F5: calculated X-ray diffraction stick pattern (Cu Kα), based on a cell relaxed with GGA+U.
Neutral-atom scattering factors, no anomalous dispersion.

Main lines, most intense first (10 to 90 degrees two-theta):
| index | Position (°2θ) | I (rel.) |
| --- | --- | --- |
| 1 2 -1 | 25.69 | 100.0 |
| 2 2 -5 | 46.01 | 25.7 |
| 1 0 -4 | 27.61 | 24.1 |
| 0 2 3 | 28.36 | 23.0 |
| 2 0 2 | 39.24 | 21.0 |
| 0 4 0 | 40.43 | 16.5 |

Structure:
```
Sr2CoCO3F5
1.0
5.570 0.000 0.000
0.000 8.925 0.000
-3.578 0.000 13.314
Sr Co C O F
8 4 4 12 20
direct
0.191 0.111 0.402
0.191 0.389 0.902
0.192 0.638 0.416
0.192 0.862 0.916
0.808 0.138 0.084
0.808 0.362 0.584
0.809 0.611 0.098
0.809 0.889 0.598
0.311 0.628 0.674
0.311 0.872 0.174
0.689 0.128 0.826
0.689 0.372 0.326
0.319 0.124 0.636
0.319 0.376 0.136
0.681 0.624 0.864
0.681 0.876 0.364
0.087 0.119 0.584
0.087 0.381 0.084
0.361 0.131 0.734
0.361 0.369 0.234
0.494 0.121 0.591
0.494 0.379 0.091
0.506 0.621 0.909
0.506 0.879 0.409
0.639 0.631 0.766
0.639 0.869 0.266
0.913 0.619 0.916
0.913 0.881 0.416
0.027 0.130 0.933
0.027 0.370 0.433
0.176 0.039 0.227
0.176 0.461 0.727
0.177 0.715 0.236
0.177 0.785 0.736
0.396 0.720 0.086
0.396 0.780 0.586
0.417 0.013 0.086
0.417 0.487 0.586
0.583 0.513 0.414
0.583 0.987 0.914
0.604 0.220 0.414
0.604 0.280 0.914
0.823 0.215 0.264
0.823 0.285 0.764
0.824 0.539 0.273
0.824 0.961 0.773
0.973 0.630 0.567
0.973 0.870 0.067
```